For Li3FePCO7, a crystal structure in the Materials Project, relaxed with GGA+U gives the computed X-ray diffraction stick pattern in this record (Cu Kα, 1.54184 Å).
No peak broadening, texture or thermal motion is included.

Main lines, by angle (5 to 70 degrees two-theta):
(0 0 1), 2θ = 10.23°, d 8.649, intensity 1000
(1 0 -1), 2θ = 20.36°, d 4.363, intensity 247
(1 0 1), 2θ = 21.16°, d 4.198, intensity 337
(1 -1 0), 2θ = 22.45°, d 3.960, intensity 157
(1 0 -2), 2θ = 26.83°, d 3.323, intensity 507
(0 2 0), 2θ = 27.47°, d 3.247, intensity 735
(1 -1 2), 2θ = 29.16°, d 3.062, intensity 136
(0 2 -2), 2θ = 30.81°, d 2.903, intensity 139
(0 0 3), 2θ = 31.02°, d 2.883, intensity 216
(2 0 0), 2θ = 36.51°, d 2.461, intensity 330
(2 0 -1), 2θ = 37.55°, d 2.395, intensity 175
(0 0 4), 2θ = 41.78°, d 2.162, intensity 162

Atomic structure:
```
data_Li3FePCO7
_cell_length_a 4.9274
_cell_length_b 6.6402
_cell_length_c 8.8497
_cell_angle_alpha 101.96
_cell_angle_beta 92.38
_cell_angle_gamma 90.59
_space_group_name_H-M_alt 'P -1'
_space_group_IT_number 2
loop_
_space_group_symop_operation_xyz
'x,y,z'
'-x,-y,-z'
loop_
_atom_site_label
_atom_site_fract_x
_atom_site_fract_y
_atom_site_fract_z
Li1 0.1523 0.3449 0.0745
Li2 0.2143 0.5846 0.6922
Li3 0.2324 0.9975 0.7745
Fe1 0.2124 0.7328 0.3564
P1 0.2970 0.2349 0.4160
C1 0.3245 0.7385 0.0269
O1 0.1571 0.0307 0.3319
O2 0.1580 0.6599 0.1130
O3 0.2105 0.4052 0.3266
O4 0.2189 0.2951 0.5883
O5 0.2225 0.7638 0.8944
O6 0.3866 0.7849 0.5854
O7 0.4270 0.2181 0.9292
```